No. 1
Structure and computed XRD peak list of Mn3P2O8 (a DFT-relaxed cell (GGA+U, the Materials Project); λ = 1.5418 Å (Cu Kα)).
No peak broadening, texture or thermal motion is included.

Top 12 peaks for 2θ from 10° to 80°, in order of rising 2θ:
2θ/deg, I (rel.)
14.2, 42
21.9, 69
24.4, 100
28.5, 35
30.9, 75
34.0, 81
34.9, 83
48.0, 21
49.9, 26
50.0, 28
52.4, 22
54.3, 26

Structural model:
```
data_Mn3P2O8
_space_group_name_H-M_alt 'P 1 21/c 1'
_space_group_IT_number 14
_cell_length_a 6.259
_cell_length_b 4.956
_cell_length_c 10.716
_cell_angle_alpha 90.00
_cell_angle_beta 90.32
_cell_angle_gamma 90.00
loop_
_space_group_symop_operation_xyz
'x,y,z'
'-x,-y,-z'
'-x,y+1/2,-z+1/2'
'x,-y+1/2,z+1/2'
loop_
_atom_site_label
_atom_site_type_symbol
_atom_site_fract_x
_atom_site_fract_y
_atom_site_fract_z
_atom_site_occupancy
Mn1 Mn 0.000 0.000 0.000 1
Mn2 Mn 0.266 0.011 0.717 1
P1 P 0.238 0.569 0.899 1
O1 O 0.036 0.717 0.839 1
O2 O 0.220 0.242 0.392 1
O3 O 0.247 0.676 0.035 1
O4 O 0.427 0.674 0.819 1
```

---

No. 2
Structure and computed XRD peak list of MnP3O9 (a DFT-relaxed cell (GGA+U, the Materials Project); λ = 1.5418 Å (Cu Kα)).
No peak broadening, texture or thermal motion is included.

Top 12 peaks for 2θ from 10° to 80°, in order of rising 2θ:
2θ/deg, I (rel.)
11.1, 31
11.5, 86
15.5, 29
18.5, 73
19.7, 47
21.5, 35
22.3, 44
25.9, 47
29.3, 41
30.1, 100
30.5, 43
33.5, 34

Structural model:
```
data_MnP3O9
_space_group_name_H-M_alt 'P -1'
_space_group_IT_number 2
_cell_length_a 9.529
_cell_length_b 9.550
_cell_length_c 9.590
_cell_angle_alpha 106.77
_cell_angle_beta 106.19
_cell_angle_gamma 111.68
loop_
_space_group_symop_operation_xyz
'x,y,z'
'-x,-y,-z'
loop_
_atom_site_label
_atom_site_type_symbol
_atom_site_fract_x
_atom_site_fract_y
_atom_site_fract_z
_atom_site_occupancy
Mn1 Mn 0.112 0.293 0.208 1
Mn2 Mn 0.265 0.768 0.718 1
P1 P 0.007 0.392 0.646 1
P2 P 0.056 0.795 0.167 1
P3 P 0.182 0.088 0.920 1
P4 P 0.307 0.430 0.592 1
P5 P 0.430 0.671 0.306 1
P6 P 0.488 0.847 0.098 1
O1 O 0.003 0.375 0.804 1
O2 O 0.029 0.729 0.991 1
O3 O 0.056 0.574 0.680 1
O4 O 0.099 0.171 0.826 1
O5 O 0.102 0.901 0.810 1
O6 O 0.151 0.350 0.633 1
O7 O 0.155 0.737 0.501 1
O8 O 0.187 0.137 0.085 1
O9 O 0.220 0.931 0.293 1
O10 O 0.252 0.322 0.416 1
O11 O 0.265 0.517 0.253 1
O12 O 0.361 0.818 0.943 1
O13 O 0.365 0.613 0.649 1
O14 O 0.368 0.184 0.935 1
O15 O 0.400 0.699 0.139 1
O16 O 0.434 0.984 0.761 1
O17 O 0.436 0.398 0.704 1
O18 O 0.495 0.823 0.450 1
```